(1)
The following is a computed X-ray powder pattern of AlAg3Se3. It was derived from a cell relaxed with PBE, using CuKα.
Neutral-atom scattering factors, no anomalous dispersion.

Top 12 peaks for 15° ≤ 2θ ≤ 90°, low angle first:
| 2θ/deg | intensity |
| --- | --- |
| 19.4 | 84 |
| 23.8 | 89 |
| 24.9 | 58 |
| 26.0 | 53 |
| 28.9 | 96 |
| 30.0 | 100 |
| 32.1 | 67 |
| 35.3 | 57 |
| 37.6 | 80 |
| 40.2 | 66 |
| 42.1 | 55 |
| 42.3 | 92 |

Structure:
a b c (Å): 7.2118 13.0965 9.7755
angles (deg): 90.00 129.99 90.00
Fractional positions:
Al 0.0270 0.0735 0.1459
Al 0.0270 0.4265 0.6459
Al 0.9730 0.5735 0.3541
Al 0.9730 0.9265 0.8541
Ag 0.0136 0.1994 0.7994
Ag 0.0136 0.3006 0.2994
Ag 0.1377 0.1388 0.5722
Ag 0.1377 0.3612 0.0722
Ag 0.4752 0.7190 0.3764
Ag 0.4752 0.7810 0.8764
Ag 0.5248 0.2190 0.1236
Ag 0.5248 0.2810 0.6236
Ag 0.8623 0.6388 0.9278
Ag 0.8623 0.8612 0.4278
Ag 0.9864 0.6994 0.7006
Ag 0.9864 0.8006 0.2006
Se 0.1811 0.5597 0.2401
Se 0.1811 0.9403 0.7401
Se 0.2511 0.5799 0.6811
Se 0.2511 0.9201 0.1811
Se 0.3324 0.2090 0.2942
Se 0.3324 0.2910 0.7942
Se 0.6676 0.7090 0.2058
Se 0.6676 0.7910 0.7058
Se 0.7489 0.0799 0.8189
Se 0.7489 0.4201 0.3189
Se 0.8189 0.0597 0.2599
Se 0.8189 0.4403 0.7599

(2)
The following is a computed X-ray powder pattern of La5SmEr6. It was derived from a cell relaxed with PBE, using CuKα.
Neutral-atom scattering factors, no anomalous dispersion.

Top 12 peaks for 15° ≤ 2θ ≤ 90°, low angle first:
| 2θ/deg | intensity |
| --- | --- |
| 30.3 | 100 |
| 34.4 | 18 |
| 34.6 | 18 |
| 36.3 | 15 |
| 49.6 | 13 |
| 51.0 | 24 |
| 59.1 | 15 |
| 59.3 | 15 |
| 61.7 | 13 |
| 63.0 | 12 |
| 82.9 | 7 |
| 83.0 | 7 |

Structure:
a b c (Å): 9.5833 9.5833 5.2092
angles (deg): 105.71 105.71 62.12
Fractional positions:
La 0.0000 0.0000 0.0000
La 0.1669 0.1669 0.6670
La 0.3347 0.3347 0.3346
La 0.6653 0.6653 0.6654
La 0.8331 0.8331 0.3330
Sm 0.5000 0.5000 0.0000
Er 0.0846 0.5833 0.8340
Er 0.2509 0.7491 0.5000
Er 0.4167 0.9154 0.1660
Er 0.5833 0.0846 0.8340
Er 0.7491 0.2509 0.5000
Er 0.9154 0.4167 0.1660

(3)
The following is a computed X-ray powder pattern of KHgSe. It was derived from a cell relaxed with PBE, using CuKα.
Neutral-atom scattering factors, no anomalous dispersion.

Top 12 peaks for 15° ≤ 2θ ≤ 90°, low angle first:
| 2θ/deg | intensity |
| --- | --- |
| 19.0 | 55 |
| 20.6 | 48 |
| 28.2 | 100 |
| 36.2 | 61 |
| 38.6 | 17 |
| 41.2 | 49 |
| 44.2 | 15 |
| 46.5 | 26 |
| 53.9 | 38 |
| 60.3 | 23 |
| 68.4 | 11 |
| 78.3 | 13 |

Structure:
a b c (Å): 4.9683 4.9683 4.6639
angles (deg): 90.00 90.00 120.00
Fractional positions:
K 0.0000 0.0000 0.0000
Hg 0.3333 0.6667 0.5000
Se 0.6667 0.3333 0.5000

(4)
The following is a computed X-ray powder pattern of BC3. It was derived from a cell relaxed with PBE, using CuKα.
Neutral-atom scattering factors, no anomalous dispersion.

Top 12 peaks for 15° ≤ 2θ ≤ 90°, low angle first:
| 2θ/deg | intensity |
| --- | --- |
| 19.6 | 2 |
| 26.0 | 100 |
| 39.8 | 5 |
| 40.8 | 11 |
| 48.2 | 4 |
| 49.1 | 11 |
| 53.5 | 7 |
| 73.0 | 4 |
| 75.1 | 2 |
| 78.9 | 7 |
| 81.0 | 2 |
| 81.1 | 2 |

Structure:
a b c (Å): 2.5304 4.5300 3.4268
angles (deg): 90.00 90.10 90.00
Fractional positions:
B 0.0000 0.0000 0.0000
C 0.0000 0.3410 0.0000
C 0.5000 0.5022 0.0000
C 0.5000 0.8131 0.0000

(5)
The following is a computed X-ray powder pattern of TbPmY2Tm5. It was derived from a cell relaxed with PBE, using CuKα.
Neutral-atom scattering factors, no anomalous dispersion.

Top 12 peaks for 15° ≤ 2θ ≤ 90°, low angle first:
| 2θ/deg | intensity |
| --- | --- |
| 28.6 | 21 |
| 30.4 | 39 |
| 32.1 | 40 |
| 32.7 | 100 |
| 33.1 | 7 |
| 34.0 | 13 |
| 43.5 | 13 |
| 47.4 | 10 |
| 51.6 | 11 |
| 57.6 | 26 |
| 60.6 | 13 |
| 62.0 | 13 |

Structure:
a b c (Å): 10.1810 10.1810 10.5574
angles (deg): 90.00 90.00 148.22
Fractional positions:
Tb 0.2020 0.7980 0.5000
Tb 0.7980 0.2020 0.0000
Pm 0.4172 0.5828 0.9435
Pm 0.5828 0.4172 0.4435
Y 0.1098 0.8902 0.2235
Y 0.1130 0.8870 0.8089
Y 0.8870 0.1130 0.3089
Y 0.8902 0.1098 0.7235
Tm 0.0192 0.9808 0.5155
Tm 0.2831 0.7170 0.7979
Tm 0.2986 0.7014 0.1980
Tm 0.3908 0.6092 0.5107
Tm 0.4789 0.5211 0.2249
Tm 0.5211 0.4789 0.7249
Tm 0.6092 0.3908 0.0107
Tm 0.7014 0.2986 0.6980
Tm 0.7170 0.2831 0.2979
Tm 0.9808 0.0192 0.0155

(6)
The following is a computed X-ray powder pattern of Nd2Er2Pb2C. It was derived from a cell relaxed with PBE, using CuKα.
Neutral-atom scattering factors, no anomalous dispersion.

Top 12 peaks for 15° ≤ 2θ ≤ 90°, low angle first:
| 2θ/deg | intensity |
| --- | --- |
| 26.1 | 17 |
| 28.3 | 51 |
| 32.3 | 23 |
| 34.0 | 100 |
| 37.2 | 52 |
| 50.1 | 27 |
| 53.7 | 18 |
| 61.8 | 11 |
| 62.1 | 16 |
| 64.1 | 13 |
| 65.1 | 31 |
| 86.6 | 13 |

Structure:
a b c (Å): 8.9791 8.9791 8.9791
angles (deg): 148.81 148.81 44.69
Fractional positions:
Nd 0.1591 0.1591 0.0000
Nd 0.8409 0.8409 0.0000
Er 0.0000 0.5000 0.5000
Er 0.5000 0.0000 0.5000
Pb 0.3624 0.3624 0.0000
Pb 0.6375 0.6375 0.0000
C 0.0000 0.0000 0.0000

Q: What is the formula in the fourth record?
A: BC3

Q: Which formula does entry 4 have?
A: BC3